Computed X-ray diffraction stick pattern
Compound: HoNiPdO4
Radiation: Cu Kα X-rays
Structure: a PBE+U-relaxed structure

Most intense lines, 2θ = 5–70°, low angle first:
d = 5.132 Å, 2θ 17.28, I = 47
d = 5.009 Å, 2θ 17.71, I = 46
d = 2.861 Å, 2θ 31.27, I = 32
d = 2.796 Å, 2θ 32.00, I = 100
d = 2.566 Å, 2θ 34.97, I = 65
d = 2.409 Å, 2θ 37.32, I = 52
d = 1.936 Å, 2θ 46.94, I = 37
d = 1.849 Å, 2θ 49.29, I = 39
d = 1.490 Å, 2θ 62.31, I = 26
d = 1.398 Å, 2θ 66.92, I = 23

Atomic structure:
Cell lengths 6.136, 6.136, 6.136 Å; angles 114.15, 110.79, 103.64 degrees
Fractional positions:
Ho (0.500, 0.000, 0.000)
Ho (0.500, 0.500, 0.500)
Ni (0.049, 0.299, 0.750)
Ni (0.951, 0.701, 0.250)
Pd (0.000, 0.000, 0.000)
Pd (0.500, 0.000, 0.500)
O (0.201, 0.153, 0.452)
O (0.201, 0.748, 0.048)
O (0.268, 0.733, 0.535)
O (0.302, 0.267, 0.035)
O (0.698, 0.733, 0.965)
O (0.732, 0.267, 0.465)
O (0.799, 0.252, 0.952)
O (0.799, 0.847, 0.548)